This entry pairs a crystal structure of CeTmCd with its theoretical XRD peak list. Radiation: Cu Kα. Structure: a crystal structure in Alexandria, relaxed with GGA-PBE.
Intensities are scaled so that the largest is 1000.

Main lines, in order of rising 2θ (10 to 90 degrees two-theta):
2θ/deg	I_rel
32.3	1000
36.8	359
38.7	142
53.1	151
54.5	208
63.5	281

Cell and atoms:
a b c (Å): 7.387 7.387 7.387
angles (deg): 152.99 152.99 38.57
Positions (direct):
Ce 0.000 0.000 0.000
Tm 0.683 0.683 0.000
Cd 0.333 0.333 0.000